No. 1
Starting from a cell relaxed with GGA-PBE, the X-ray powder pattern of UPd7Pt2 was computed for CuKα.
Lines closer than 0.1° are merged.

Largest 8 diffraction maxima, in order of rising 2θ, 2θ = 10–80°:
2θ (°), intensity, hkl
14.45, 15, 1 1 0
19.74, 26, 2 0 0
37.78, 15, 0 0 2
39.58, 100, 2 0 -2
40.10, 32, 4 0 0
46.18, 64, 3 3 -1
67.01, 21, 1 3 -3
67.69, 14, 5 3 1

Structural model:
```
data_UPd7Pt2
_chemical_formula_sum 'U2 Pd14 Pt4'
_cell_length_a 9.134
_cell_length_b 8.380
_cell_length_c 4.838
_cell_angle_alpha 90.00
_cell_angle_beta 100.04
_cell_angle_gamma 90.00
_symmetry_space_group_name_H-M 'C 1 2/m 1'
_symmetry_Int_Tables_number 12
loop_
_symmetry_equiv_pos_as_xyz
'x,y,z'
'-x,-y,-z'
'-x,y,-z'
'x,-y,z'
'x+1/2,y+1/2,z'
'-x+1/2,-y+1/2,-z'
'-x+1/2,y+1/2,-z'
'x+1/2,-y+1/2,z'
loop_
_atom_site_label
_atom_site_fract_x
_atom_site_fract_y
_atom_site_fract_z
U1 0.000 0.000 0.000
Pd1 0.000 0.338 0.000
Pd2 0.000 0.500 0.500
Pd3 0.247 0.164 0.243
Pt1 0.000 0.166 0.500
```

***

No. 2
Starting from a cell relaxed with GGA-PBE, the X-ray powder pattern of UPd2Pt2 was computed for CuKα.
Lines closer than 0.1° are merged.

Largest 8 diffraction maxima, in order of rising 2θ, 2θ = 10–80°:
2θ (°), intensity, hkl
22.37, 27, 1 0 0
34.11, 61, 0 0 4
39.27, 100, 1 1 0
41.17, 45, 1 0 4
52.97, 37, 1 1 4
58.20, 17, 2 0 4
71.18, 18, 3 0 0
72.47, 18, 2 1 4

Structural model:
```
data_UPd2Pt2
_chemical_formula_sum 'U2 Pd4 Pt4'
_cell_length_a 4.5889
_cell_length_b 4.5889
_cell_length_c 10.5151
_cell_angle_alpha 90.00
_cell_angle_beta 90.00
_cell_angle_gamma 120.00
_symmetry_space_group_name_H-M 'P 63/m m c'
_symmetry_Int_Tables_number 194
_symmetry_space_group_name_Hall '-P 6c 2c'
loop_
_atom_site_label
_atom_site_fract_x
_atom_site_fract_y
_atom_site_fract_z
U1 0.0000 0.0000 0.2500
Pd1 0.3333 0.6667 0.1052
Pt1 0.0000 0.0000 0.0000
Pt2 0.3333 0.6667 0.7500
```

***

No. 3
Starting from a cell relaxed with GGA-PBE, the X-ray powder pattern of U2Pd3Pt7 was computed for CuKα.
Lines closer than 0.1° are merged.

Largest 8 diffraction maxima, in order of rising 2θ, 2θ = 10–80°:
2θ (°), intensity, hkl
39.26, 100, 1 1 3
44.13, 19, 0 0 7
45.90, 16, 0 2 0
46.91, 15, 2 0 -1
65.56, 11, 0 2 7
66.36, 11, 2 0 6
67.72, 10, 2 2 -1
77.88, 13, 1 1 10

Structural model:
```
data_U2Pd3Pt7
_chemical_formula_sum 'U2 Pd3 Pt7'
_cell_length_a 3.874
_cell_length_b 3.954
_cell_length_c 14.498
_cell_angle_alpha 90.00
_cell_angle_beta 97.66
_cell_angle_gamma 90.00
_symmetry_space_group_name_H-M 'P 1 2/m 1'
_symmetry_Int_Tables_number 10
loop_
_symmetry_equiv_pos_as_xyz
'x,y,z'
'-x,-y,-z'
'-x,y,-z'
'x,-y,z'
loop_
_atom_site_label
_atom_site_fract_x
_atom_site_fract_y
_atom_site_fract_z
U1 0.142 0.000 0.285
Pd1 0.000 0.000 0.000
Pd2 0.213 0.500 0.426
Pt1 0.074 0.500 0.149
Pt2 0.290 0.000 0.580
Pt3 0.427 0.000 0.852
Pt4 0.500 0.500 0.000
```

***

No. 4
Starting from a cell relaxed with GGA-PBE, the X-ray powder pattern of U2Pd3Pt3 was computed for CuKα.
Lines closer than 0.1° are merged.

Largest 8 diffraction maxima, in order of rising 2θ, 2θ = 10–80°:
2θ (°), intensity, hkl
22.58, 25, 1 1 -1
34.12, 40, 2 2 0
36.52, 35, 1 3 0
39.64, 75, 1 3 -1
40.01, 100, 2 2 1
41.31, 42, 3 1 -1
46.04, 16, 2 2 -2
72.20, 25, 0 4 3

Structural model:
```
data_U2Pd3Pt3
_chemical_formula_sum 'U4 Pd6 Pt6'
_cell_length_a 7.139
_cell_length_b 7.869
_cell_length_c 5.314
_cell_angle_alpha 90.00
_cell_angle_beta 98.54
_cell_angle_gamma 90.00
_symmetry_space_group_name_H-M 'C 1 2 1'
_symmetry_Int_Tables_number 5
loop_
_symmetry_equiv_pos_as_xyz
'x,y,z'
'-x,y,-z'
'x+1/2,y+1/2,z'
'-x+1/2,y+1/2,-z'
loop_
_atom_site_label
_atom_site_fract_x
_atom_site_fract_y
_atom_site_fract_z
U1 0.209 0.000 0.208
Pd1 0.000 0.738 0.500
Pd2 0.118 0.381 0.263
Pt1 0.000 0.697 0.000
Pt2 0.152 0.151 0.697
```

***

No. 5
Starting from a cell relaxed with GGA-PBE, the X-ray powder pattern of UPd4Pt2 was computed for CuKα.
Lines closer than 0.1° are merged.

Largest 8 diffraction maxima, in order of rising 2θ, 2θ = 10–80°:
2θ (°), intensity, hkl
32.89, 37, 0 2 3
34.18, 37, 2 0 0
35.69, 90, 1 3 1
38.52, 53, 2 0 2
40.33, 67, 1 1 4
40.44, 27, 0 2 4
40.82, 24, 2 2 1
43.72, 100, 1 3 3

Structural model:
```
data_UPd4Pt2
_chemical_formula_sum 'U4 Pd16 Pt8'
_cell_length_a 5.247
_cell_length_b 8.956
_cell_length_c 10.289
_cell_angle_alpha 90.00
_cell_angle_beta 90.00
_cell_angle_gamma 90.00
_symmetry_space_group_name_H-M 'C m c e'
_symmetry_Int_Tables_number 64
_symmetry_space_group_name_Hall '-C 2ac 2'
loop_
_atom_site_label
_atom_site_fract_x
_atom_site_fract_y
_atom_site_fract_z
U1 0.000 0.000 0.000
Pd1 0.000 0.216 0.176
Pd2 0.250 0.039 0.750
Pt1 0.000 0.146 0.443
```

***

No. 6
Starting from a cell relaxed with GGA-PBE, the X-ray powder pattern of VPd3Pt4 was computed for CuKα.
Lines closer than 0.1° are merged.

Largest 8 diffraction maxima, in order of rising 2θ, 2θ = 10–80°:
2θ (°), intensity, hkl
22.68, 11, 0 0 4
32.17, 10, 1 1 0
39.72, 100, 1 1 4
46.13, 33, 2 0 0
46.32, 15, 0 0 8
52.00, 6, 2 0 4
67.29, 11, 2 2 0
67.44, 20, 2 0 8

Structural model:
```
data_VPd3Pt4
_chemical_formula_sum 'V2 Pd6 Pt8'
_cell_length_a 3.935
_cell_length_b 3.935
_cell_length_c 15.682
_cell_angle_alpha 90.00
_cell_angle_beta 90.00
_cell_angle_gamma 90.00
_symmetry_space_group_name_H-M 'I 4/m m m'
_symmetry_Int_Tables_number 139
_symmetry_space_group_name_Hall '-I 4 2'
loop_
_atom_site_label
_atom_site_fract_x
_atom_site_fract_y
_atom_site_fract_z
V1 0.000 0.000 0.000
Pd1 0.000 0.000 0.252
Pd2 0.000 0.000 0.500
Pt1 0.000 0.500 0.119
```

***

No. 7
Starting from a cell relaxed with GGA-PBE, the X-ray powder pattern of V4Pd6Pt7 was computed for CuKα.
Lines closer than 0.1° are merged.

Largest 8 diffraction maxima, in order of rising 2θ, 2θ = 10–80°:
2θ (°), intensity, hkl
21.62, 42, 2 0 0
26.57, 18, 2 1 1
37.92, 100, 2 2 2
41.09, 42, 3 2 1
44.07, 72, 4 0 0
52.20, 23, 3 3 2
64.09, 41, 4 4 0
76.95, 28, 6 2 2

Structural model:
```
data_V4Pd6Pt7
_chemical_formula_sum 'V8 Pd12 Pt14'
_cell_length_a 8.219
_cell_length_b 8.219
_cell_length_c 8.219
_cell_angle_alpha 90.00
_cell_angle_beta 90.00
_cell_angle_gamma 90.00
_symmetry_space_group_name_H-M 'I m -3 m'
_symmetry_Int_Tables_number 229
_symmetry_space_group_name_Hall '-I 4 2 3'
loop_
_atom_site_label
_atom_site_fract_x
_atom_site_fract_y
_atom_site_fract_z
V1 0.250 0.250 0.250
Pd1 0.000 0.000 0.298
Pt1 0.000 0.000 0.000
Pt2 0.000 0.250 0.500
```

***

No. 8
Starting from a cell relaxed with GGA-PBE, the X-ray powder pattern of V2Pd2Pt5 was computed for CuKα.
Lines closer than 0.1° are merged.

Largest 8 diffraction maxima, in order of rising 2θ, 2θ = 10–80°:
2θ (°), intensity, hkl
22.31, 26, 0 1 1
37.90, 41, 0 2 0
40.92, 100, 6 1 1
41.47, 98, 0 1 3
42.07, 58, 6 0 2
43.56, 35, 3 2 1
57.90, 28, 6 2 2
61.43, 19, 6 0 4

Structural model:
```
data_V2Pd2Pt5
_chemical_formula_sum 'V8 Pd8 Pt20'
_cell_length_a 15.883
_cell_length_b 4.747
_cell_length_c 7.351
_cell_angle_alpha 90.00
_cell_angle_beta 90.00
_cell_angle_gamma 90.00
_symmetry_space_group_name_H-M 'I m a 2'
_symmetry_Int_Tables_number 46
loop_
_symmetry_equiv_pos_as_xyz
'x,y,z'
'-x,-y,z'
'-x+1/2,y,z'
'x+1/2,-y,z'
'x+1/2,y+1/2,z+1/2'
'-x+1/2,-y+1/2,z+1/2'
'-x,y+1/2,z+1/2'
'x,-y+1/2,z+1/2'
loop_
_atom_site_label
_atom_site_fract_x
_atom_site_fract_y
_atom_site_fract_z
V1 0.000 0.000 0.000
V2 0.250 0.036 0.677
Pd1 0.083 0.582 0.169
Pt1 0.079 0.083 0.325
Pt2 0.166 0.005 0.996
Pt3 0.250 0.527 0.835
```